Entry 1:
This entry pairs a crystal structure of YTmPb2 with its simulated X-ray diffraction stick pattern. Radiation: Cu Kα (weighted mean of Kα1 and Kα2). Structure: DFT lattice parameters and positions (PBE).

Top 10 peaks for 2θ from 10° to 90°, low angle first:
30.12 deg, I 100
31.43 deg, I 45
34.92 deg, I 68
38.01 deg, I 27
43.21 deg, I 19
47.77 deg, I 14
50.12 deg, I 25
51.94 deg, I 23
58.89 deg, I 15
61.22 deg, I 14

Structure:
a = 10.399 Å, b = 10.399 Å, c = 5.843 Å
α = 95.35°, β = 95.35°, γ = 131.17°
Fractional coordinates of all 16 atoms:
Y 0.064 0.936 0.750
Y 0.311 0.689 0.750
Y 0.689 0.311 0.250
Y 0.936 0.064 0.250
Tm 0.186 0.814 0.250
Tm 0.439 0.561 0.250
Tm 0.561 0.439 0.750
Tm 0.814 0.186 0.750
Pb 0.067 0.442 0.243
Pb 0.188 0.313 0.755
Pb 0.313 0.188 0.255
Pb 0.442 0.067 0.743
Pb 0.558 0.933 0.257
Pb 0.687 0.812 0.745
Pb 0.812 0.687 0.245
Pb 0.933 0.558 0.757

---

Entry 2:
This entry pairs a crystal structure of Y5TmPb4 with its simulated X-ray diffraction stick pattern. Radiation: Cu Kα (weighted mean of Kα1 and Kα2). Structure: DFT lattice parameters and positions (PBE).

Top 10 peaks for 2θ from 10° to 90°, low angle first:
29.96 deg, I 18
30.42 deg, I 36
30.85 deg, I 100
31.53 deg, I 23
34.99 deg, I 20
36.73 deg, I 39
38.22 deg, I 18
40.43 deg, I 28
47.12 deg, I 19
59.28 deg, I 19

Structure:
a = 9.009 Å, b = 9.009 Å, c = 9.692 Å
α = 91.85°, β = 91.85°, γ = 23.55°
Fractional coordinates of all 10 atoms:
Y 0.000 0.000 0.000
Y 0.309 0.309 0.112
Y 0.346 0.346 0.740
Y 0.654 0.654 0.260
Y 0.691 0.691 0.888
Tm 0.000 0.000 0.500
Pb 0.181 0.181 0.568
Pb 0.474 0.474 0.252
Pb 0.526 0.526 0.748
Pb 0.819 0.819 0.432

---

Entry 3:
This entry pairs a crystal structure of YTm4Pb with its simulated X-ray diffraction stick pattern. Radiation: Cu Kα (weighted mean of Kα1 and Kα2). Structure: DFT lattice parameters and positions (PBE).

Top 10 peaks for 2θ from 10° to 90°, low angle first:
31.56 deg, I 100
31.75 deg, I 98
35.80 deg, I 71
38.48 deg, I 29
51.28 deg, I 13
53.57 deg, I 45
61.58 deg, I 30
61.93 deg, I 29
65.31 deg, I 13
65.90 deg, I 13

Structure:
a = 3.563 Å, b = 4.679 Å, c = 10.591 Å
α = 90.00°, β = 90.00°, γ = 90.00°
Fractional coordinates of all 6 atoms:
Y 0.000 0.000 0.000
Tm 0.000 0.000 0.339
Tm 0.000 0.000 0.661
Tm 0.500 0.500 0.164
Tm 0.500 0.500 0.836
Pb 0.500 0.500 0.500

---

Entry 4:
This entry pairs a crystal structure of Y3TmPb4 with its simulated X-ray diffraction stick pattern. Radiation: Cu Kα (weighted mean of Kα1 and Kα2). Structure: DFT lattice parameters and positions (PBE).

Top 10 peaks for 2θ from 10° to 90°, low angle first:
32.09 deg, I 25
32.26 deg, I 100
39.86 deg, I 28
52.06 deg, I 26
57.31 deg, I 20
57.64 deg, I 10
67.52 deg, I 12
67.62 deg, I 24
80.99 deg, I 7
85.68 deg, I 13

Structure:
a = 11.159 Å, b = 6.397 Å, c = 6.396 Å
α = 90.00°, β = 90.00°, γ = 90.00°
Fractional coordinates of all 16 atoms:
Y 0.000 0.000 0.000
Y 0.250 0.253 0.250
Y 0.250 0.747 0.750
Y 0.500 0.000 0.500
Y 0.750 0.253 0.250
Y 0.750 0.747 0.750
Tm 0.000 0.500 0.500
Tm 0.500 0.500 0.000
Pb 0.000 0.000 0.500
Pb 0.000 0.500 0.000
Pb 0.250 0.248 0.750
Pb 0.250 0.752 0.250
Pb 0.500 0.000 0.000
Pb 0.500 0.500 0.500
Pb 0.750 0.248 0.750
Pb 0.750 0.752 0.250

---

Entry 5:
This entry pairs a crystal structure of Tm4ZnPb2 with its simulated X-ray diffraction stick pattern. Radiation: Cu Kα (weighted mean of Kα1 and Kα2). Structure: DFT lattice parameters and positions (PBE).

Top 10 peaks for 2θ from 10° to 90°, low angle first:
27.37 deg, I 33
31.08 deg, I 88
31.76 deg, I 47
32.98 deg, I 100
33.97 deg, I 89
34.09 deg, I 50
34.72 deg, I 89
34.83 deg, I 59
35.99 deg, I 38
52.80 deg, I 39

Structure:
a = 5.935 Å, b = 6.518 Å, c = 10.149 Å
α = 90.00°, β = 104.41°, γ = 90.00°
Fractional coordinates of all 14 atoms:
Tm 0.189 0.250 0.135
Tm 0.261 0.003 0.732
Tm 0.261 0.497 0.732
Tm 0.303 0.750 0.430
Tm 0.697 0.250 0.570
Tm 0.739 0.503 0.268
Tm 0.739 0.997 0.268
Tm 0.811 0.750 0.865
Zn 0.056 0.750 0.156
Zn 0.944 0.250 0.844
Pb 0.168 0.250 0.446
Pb 0.386 0.750 0.014
Pb 0.614 0.250 0.986
Pb 0.832 0.750 0.554

---

> What is the formula in the fourth record?

Y3TmPb4

---

> What is the formula in the fifth record?

Tm4ZnPb2